Record 1
Starting from a structure optimized by DFT (GGA-PBE), the XRD peak list of Cu3SeO was calculated for Cu Kα (λ = 1.5418 Å).
Intensities are scaled so that the largest is 100.

Crystal structure
```
Cu3SeO
1.0
4.062 0.000 0.000
0.000 4.062 0.000
0.000 0.000 4.062
Cu Se O
3 1 1
Direct
0.000 0.000 0.500
0.000 0.500 0.000
0.500 0.000 0.000
0.500 0.500 0.500
0.000 0.000 0.000
```

Principal peaks in the range 10° ≤ 2θ ≤ 80°, sorted by position:
Position (°2θ), I_rel
31.1, 3
38.4, 100
44.6, 60
55.4, 1
64.9, 36
78.0, 34

---

Record 2
Starting from a structure optimized by DFT (GGA-PBE), the XRD peak list of Cu4Se3O10 was calculated for Cu Kα (λ = 1.5418 Å).
Intensities are scaled so that the largest is 100.

Crystal structure
```
Cu4Se3O10
1.0
8.145 0.000 0.000
1.273 8.208 0.000
3.501 1.360 7.624
Cu Se O
8 6 20
Direct
0.016 0.370 0.176
0.108 0.162 0.486
0.178 0.550 0.391
0.409 0.438 0.736
0.591 0.562 0.264
0.822 0.450 0.609
0.892 0.838 0.514
0.984 0.630 0.824
0.101 0.203 0.839
0.333 0.809 0.531
0.443 0.282 0.124
0.557 0.718 0.876
0.667 0.191 0.469
0.899 0.797 0.161
0.015 0.642 0.042
0.030 0.386 0.399
0.037 0.797 0.270
0.126 0.918 0.575
0.257 0.650 0.714
0.280 0.331 0.036
0.283 0.304 0.669
0.350 0.132 0.301
0.354 0.702 0.365
0.408 0.461 0.222
0.592 0.539 0.778
0.646 0.298 0.635
0.650 0.868 0.699
0.717 0.696 0.331
0.720 0.669 0.964
0.743 0.350 0.286
0.874 0.082 0.425
0.963 0.203 0.730
0.970 0.614 0.601
0.985 0.358 0.958
```

Principal peaks in the range 10° ≤ 2θ ≤ 80°, sorted by position:
Position (°2θ), I_rel
10.9, 100
11.6, 44
22.0, 53
34.1, 47
35.1, 38
40.0, 35

---

Record 3
Starting from a structure optimized by DFT (GGA-PBE), the XRD peak list of Sm2CuSe4O12 was calculated for Cu Kα (λ = 1.5418 Å).
Intensities are scaled so that the largest is 100.

Crystal structure
```
Sm2CuSe4O12
1.0
10.819 0.000 0.000
0.000 7.034 0.000
-2.817 0.000 7.761
Sm Cu Se O
4 2 8 24
Direct
0.084 0.163 0.239
0.084 0.337 0.739
0.916 0.663 0.261
0.916 0.837 0.761
0.500 0.000 0.500
0.500 0.500 0.000
0.183 0.677 0.135
0.183 0.823 0.635
0.365 0.172 0.124
0.365 0.328 0.624
0.635 0.672 0.376
0.635 0.828 0.876
0.817 0.177 0.365
0.817 0.323 0.865
0.056 0.654 0.589
0.056 0.846 0.089
0.107 0.507 0.221
0.107 0.993 0.721
0.156 0.613 0.926
0.156 0.887 0.426
0.200 0.222 0.031
0.200 0.278 0.531
0.348 0.118 0.323
0.348 0.382 0.823
0.442 0.108 0.677
0.442 0.392 0.177
0.558 0.608 0.823
0.558 0.892 0.323
0.652 0.618 0.177
0.652 0.882 0.677
0.800 0.722 0.469
0.800 0.778 0.969
0.844 0.113 0.574
0.844 0.387 0.074
0.893 0.007 0.279
0.893 0.493 0.779
0.944 0.154 0.911
0.944 0.346 0.411
```

Principal peaks in the range 10° ≤ 2θ ≤ 80°, sorted by position:
Position (°2θ), I_rel
26.8, 35
27.2, 58
27.9, 100
29.2, 36
30.4, 34
31.2, 58

---

Record 4
Starting from a structure optimized by DFT (GGA-PBE), the XRD peak list of SrCuSe4O12 was calculated for Cu Kα (λ = 1.5418 Å).
Intensities are scaled so that the largest is 100.

Crystal structure
```
SrCuSe4O12
1.0
7.698 0.000 0.000
0.000 3.856 5.129
0.000 -3.856 5.129
Sr Cu Se O
1 1 4 12
Direct
0.000 0.000 0.000
0.500 0.300 0.300
0.230 0.515 0.993
0.230 0.993 0.515
0.770 0.515 0.993
0.770 0.993 0.515
0.000 0.078 0.569
0.000 0.569 0.078
0.204 0.337 0.854
0.204 0.854 0.337
0.240 0.800 0.800
0.264 0.304 0.304
0.500 0.051 0.523
0.500 0.523 0.051
0.736 0.304 0.304
0.760 0.800 0.800
0.796 0.337 0.854
0.796 0.854 0.337
```

Principal peaks in the range 10° ≤ 2θ ≤ 80°, sorted by position:
Position (°2θ), I_rel
17.3, 100
18.4, 43
23.1, 34
29.0, 84
32.9, 41
47.2, 36

---

Record 5
Starting from a structure optimized by DFT (GGA-PBE), the XRD peak list of Sr2CuSeO6 was calculated for Cu Kα (λ = 1.5418 Å).
Intensities are scaled so that the largest is 100.

Crystal structure
```
Sr2CuSeO6
1.0
2.776 1.603 9.669
-2.776 1.603 9.669
0.000 -3.205 9.669
Sr Cu Se O
4 2 2 12
Direct
0.116 0.116 0.116
0.292 0.292 0.292
0.708 0.708 0.708
0.884 0.884 0.884
0.000 0.000 0.000
0.500 0.500 0.500
0.410 0.410 0.410
0.590 0.590 0.590
0.145 0.603 0.603
0.218 0.218 0.692
0.218 0.692 0.218
0.308 0.782 0.782
0.397 0.397 0.855
0.397 0.855 0.397
0.603 0.145 0.603
0.603 0.603 0.145
0.692 0.218 0.218
0.782 0.308 0.782
0.782 0.782 0.308
0.855 0.397 0.397
```

Principal peaks in the range 10° ≤ 2θ ≤ 80°, sorted by position:
Position (°2θ), I_rel
28.4, 38
32.3, 100
36.2, 46
43.5, 28
49.2, 34
60.1, 23

---

Record 6
Starting from a structure optimized by DFT (GGA-PBE), the XRD peak list of Tl2Cu3Se6O18 was calculated for Cu Kα (λ = 1.5418 Å).
Intensities are scaled so that the largest is 100.

Crystal structure
```
Tl2Cu3Se6O18
1.0
4.791 0.000 0.000
1.578 9.811 0.000
1.358 3.802 9.616
Tl Cu Se O
2 3 6 18
Direct
0.069 0.180 0.322
0.931 0.820 0.678
0.299 0.979 0.906
0.500 0.500 0.000
0.701 0.021 0.094
0.128 0.276 0.970
0.171 0.853 0.330
0.436 0.422 0.343
0.564 0.578 0.657
0.829 0.147 0.670
0.872 0.724 0.030
0.007 0.131 0.809
0.085 0.077 0.572
0.086 0.390 0.360
0.120 0.815 0.900
0.247 0.346 0.081
0.365 0.003 0.272
0.407 0.138 0.963
0.415 0.754 0.644
0.495 0.534 0.171
0.505 0.466 0.829
0.585 0.246 0.356
0.593 0.862 0.037
0.635 0.997 0.728
0.753 0.654 0.919
0.880 0.185 0.100
0.914 0.610 0.640
0.915 0.923 0.428
0.993 0.869 0.191
```

Principal peaks in the range 10° ≤ 2θ ≤ 80°, sorted by position:
Position (°2θ), I_rel
10.6, 100
22.2, 59
27.5, 53
27.8, 89
28.8, 53
30.8, 99